This entry pairs a crystal structure of BaCa2Sn4 with its computed powder diffractogram. Radiation: Cu Ka. Structure: a crystal structure in Alexandria, relaxed with GGA-PBE.
Intensities are scaled so that the largest is 100.

Cell and atoms:
```
BaCa2Sn4
1.0
-2.2854 2.4674 10.3007
2.2854 -2.4674 10.3007
2.2854 2.4674 -10.3007
Ba Ca Sn
1 2 4
direct
0.0000 0.0000 0.0000
0.1818 0.6818 0.5000
0.8182 0.3182 0.5000
0.3379 0.8379 0.5000
0.4262 0.4262 0.0000
0.5738 0.5738 0.0000
0.6621 0.1621 0.5000
```

Peak list (10 most intense, 5° ≤ 2θ ≤ 70°, low angle first)
- 8.58 deg, I = 21.6
- 18.49 deg, I = 20.8
- 22.18 deg, I = 27.2
- 27.98 deg, I = 100.0
- 29.18 deg, I = 22.6
- 36.31 deg, I = 38.5
- 36.41 deg, I = 31.5
- 37.49 deg, I = 40.7
- 39.43 deg, I = 25.3
- 52.36 deg, I = 27.3